No. 1
This entry pairs a crystal structure of Tb7Er2Th2 with its computed powder X-ray diffraction pattern. Radiation: Cu Kα, 1.54184 Å. Structure: DFT lattice parameters and positions (GGA-PBE).
Intensities are scaled so that the largest is 100.

Top 10 peaks for 2θ = 10–90°, in order of rising 2θ:
2θ/deg, Rel. int.
25.58, 18
30.13, 13
31.07, 74
31.77, 31
32.03, 100
33.86, 34
34.00, 40
45.01, 16
50.11, 17
55.47, 13

Crystal structure
a = 8.072 Å, b = 8.072 Å, c = 5.994 Å
α = 106.11°, β = 106.11°, γ = 91.12°
Positions (direct):
Tb: 0.000 0.000 0.000
Tb: 0.058 0.592 0.830
Tb: 0.408 0.942 0.170
Tb: 0.413 0.413 0.195
Tb: 0.587 0.587 0.805
Tb: 0.592 0.058 0.830
Tb: 0.942 0.408 0.170
Er: 0.234 0.234 0.587
Er: 0.766 0.766 0.413
Th: 0.211 0.789 0.500
Th: 0.789 0.211 0.500



No. 2
This entry pairs a crystal structure of Tb9Er3Th2 with its computed powder X-ray diffraction pattern. Radiation: Cu Kα, 1.54184 Å. Structure: DFT lattice parameters and positions (GGA-PBE).
Intensities are scaled so that the largest is 100.

Top 10 peaks for 2θ = 10–90°, in order of rising 2θ:
2θ/deg, Rel. int.
30.93, 43
31.89, 53
32.22, 100
32.51, 88
45.02, 31
47.80, 16
53.24, 12
57.15, 19
63.41, 15
63.61, 28

Crystal structure
a = 5.613 Å, b = 9.910 Å, c = 9.917 Å
α = 62.75°, β = 73.71°, γ = 73.71°
Positions (direct):
Tb: 0.000 0.000 0.000
Tb: 0.000 0.329 0.671
Tb: 0.405 0.592 0.602
Tb: 0.405 0.931 0.262
Tb: 0.604 0.228 0.561
Tb: 0.605 0.890 0.898
Tb: 0.796 0.876 0.547
Tb: 0.801 0.193 0.204
Tb: 0.801 0.532 0.864
Er: 0.397 0.268 0.939
Er: 0.613 0.552 0.223
Er: 0.998 0.667 0.338
Th: 0.192 0.295 0.318
Th: 0.192 0.647 0.967



No. 3
This entry pairs a crystal structure of Tb3ErTh4 with its computed powder X-ray diffraction pattern. Radiation: Cu Kα, 1.54184 Å. Structure: DFT lattice parameters and positions (GGA-PBE).
Intensities are scaled so that the largest is 100.

Top 10 peaks for 2θ = 10–90°, in order of rising 2θ:
2θ/deg, Rel. int.
26.87, 23
30.42, 39
31.22, 37
31.33, 100
31.52, 51
36.80, 35
37.95, 21
55.99, 27
63.29, 28
65.33, 21

Crystal structure
a = 3.428 Å, b = 11.353 Å, c = 13.216 Å
α = 90.00°, β = 90.00°, γ = 90.00°
Positions (direct):
Tb: 0.000 0.000 0.000
Tb: 0.000 0.500 0.234
Tb: 0.000 0.500 0.766
Tb: 0.500 0.000 0.266
Tb: 0.500 0.000 0.734
Tb: 0.500 0.500 0.500
Er: 0.000 0.000 0.500
Er: 0.500 0.500 0.000
Th: 0.000 0.253 0.371
Th: 0.000 0.253 0.629
Th: 0.000 0.747 0.371
Th: 0.000 0.747 0.629
Th: 0.500 0.247 0.129
Th: 0.500 0.247 0.871
Th: 0.500 0.753 0.129
Th: 0.500 0.753 0.871



No. 4
This entry pairs a crystal structure of Tb4Er3Th with its computed powder X-ray diffraction pattern. Radiation: Cu Kα, 1.54184 Å. Structure: DFT lattice parameters and positions (GGA-PBE).
Intensities are scaled so that the largest is 100.

Top 10 peaks for 2θ = 10–90°, in order of rising 2θ:
2θ/deg, Rel. int.
28.57, 24
31.59, 24
32.74, 100
43.11, 16
50.51, 7
50.66, 13
56.99, 21
60.80, 8
60.94, 15
61.53, 11

Crystal structure
a = 11.329 Å, b = 7.228 Å, c = 6.237 Å
α = 90.00°, β = 90.00°, γ = 90.00°
Positions (direct):
Tb: 0.000 0.128 0.000
Tb: 0.000 0.870 0.504
Tb: 0.250 0.127 0.343
Tb: 0.250 0.873 0.843
Tb: 0.500 0.130 0.004
Tb: 0.500 0.872 0.500
Tb: 0.750 0.127 0.343
Tb: 0.750 0.873 0.843
Er: 0.000 0.379 0.503
Er: 0.249 0.379 0.832
Er: 0.251 0.621 0.332
Er: 0.500 0.621 0.003
Er: 0.749 0.621 0.332
Er: 0.751 0.379 0.832
Th: 0.000 0.624 0.004
Th: 0.500 0.376 0.504



No. 5
This entry pairs a crystal structure of TbEr4Th2 with its computed powder X-ray diffraction pattern. Radiation: Cu Kα, 1.54184 Å. Structure: DFT lattice parameters and positions (GGA-PBE).
Intensities are scaled so that the largest is 100.

Top 10 peaks for 2θ = 10–90°, in order of rising 2θ:
2θ/deg, Rel. int.
29.76, 51
30.23, 24
30.89, 100
32.08, 86
32.25, 85
32.91, 56
33.15, 58
33.75, 21
49.94, 23
59.89, 26

Crystal structure
a = 3.458 Å, b = 8.501 Å, c = 8.617 Å
α = 62.47°, β = 89.38°, γ = 82.49°
Positions (direct):
Tb: 0.000 0.000 0.000
Er: 0.037 0.450 0.716
Er: 0.375 0.849 0.420
Er: 0.625 0.151 0.580
Er: 0.963 0.550 0.284
Th: 0.414 0.719 0.868
Th: 0.586 0.281 0.132



No. 6
This entry pairs a crystal structure of Tb2Er2Th5 with its computed powder X-ray diffraction pattern. Radiation: Cu Kα, 1.54184 Å. Structure: DFT lattice parameters and positions (GGA-PBE).
Intensities are scaled so that the largest is 100.

Top 10 peaks for 2θ = 10–90°, in order of rising 2θ:
2θ/deg, Rel. int.
29.07, 34
29.67, 19
30.75, 52
32.00, 100
33.62, 56
33.72, 30
51.14, 39
54.44, 15
60.74, 15
60.87, 15

Crystal structure
a = 6.184 Å, b = 6.188 Å, c = 8.974 Å
α = 76.43°, β = 83.32°, γ = 60.03°
Positions (direct):
Tb: 0.000 0.222 0.330
Tb: 0.000 0.778 0.670
Er: 0.337 0.332 0.000
Er: 0.663 0.668 0.000
Th: 0.000 0.000 0.000
Th: 0.337 0.113 0.667
Th: 0.337 0.549 0.333
Th: 0.663 0.451 0.667
Th: 0.663 0.887 0.333



No. 7
This entry pairs a crystal structure of TbEr3Th2 with its computed powder X-ray diffraction pattern. Radiation: Cu Kα, 1.54184 Å. Structure: DFT lattice parameters and positions (GGA-PBE).
Intensities are scaled so that the largest is 100.

Top 10 peaks for 2θ = 10–90°, in order of rising 2θ:
2θ/deg, Rel. int.
30.90, 100
31.04, 33
35.84, 45
35.96, 22
51.41, 8
51.62, 16
51.73, 24
61.26, 19
61.49, 33
64.33, 8

Crystal structure
a = 9.990 Å, b = 3.555 Å, c = 10.599 Å
α = 90.00°, β = 90.15°, γ = 90.00°
Positions (direct):
Tb: 0.123 0.250 0.251
Tb: 0.877 0.750 0.749
Er: 0.132 0.250 0.918
Er: 0.370 0.750 0.418
Er: 0.376 0.750 0.751
Er: 0.624 0.250 0.249
Er: 0.630 0.250 0.582
Er: 0.868 0.750 0.082
Th: 0.124 0.250 0.582
Th: 0.378 0.750 0.082
Th: 0.622 0.250 0.918
Th: 0.876 0.750 0.418



No. 8
This entry pairs a crystal structure of Tb8Er3Th2 with its computed powder X-ray diffraction pattern. Radiation: Cu Kα, 1.54184 Å. Structure: DFT lattice parameters and positions (GGA-PBE).
Intensities are scaled so that the largest is 100.

Top 10 peaks for 2θ = 10–90°, in order of rising 2θ:
2θ/deg, Rel. int.
26.38, 12
29.15, 14
30.74, 21
31.91, 100
32.11, 64
33.18, 16
35.52, 14
47.52, 10
48.60, 17
60.99, 11

Crystal structure
a = 6.629 Å, b = 17.453 Å, c = 7.654 Å
α = 90.00°, β = 106.64°, γ = 90.00°
Positions (direct):
Tb: 0.084 0.072 0.150
Tb: 0.084 0.428 0.650
Tb: 0.134 0.081 0.631
Tb: 0.134 0.419 0.131
Tb: 0.354 0.238 0.965
Tb: 0.354 0.262 0.465
Tb: 0.360 0.614 0.174
Tb: 0.360 0.886 0.674
Tb: 0.640 0.114 0.326
Tb: 0.640 0.386 0.826
Tb: 0.646 0.738 0.535
Tb: 0.646 0.762 0.035
Tb: 0.866 0.581 0.869
Tb: 0.866 0.919 0.369
Tb: 0.916 0.572 0.350
Tb: 0.916 0.928 0.850
Er: 0.103 0.746 0.400
Er: 0.103 0.754 0.900
Er: 0.500 0.000 0.000
Er: 0.500 0.500 0.500
Er: 0.897 0.246 0.100
Er: 0.897 0.254 0.600
Th: 0.341 0.612 0.751
Th: 0.341 0.888 0.251
Th: 0.659 0.112 0.749
Th: 0.659 0.388 0.249